The following is a computed X-ray powder pattern of Ce3Ga8Tc3. It was derived from a crystal structure in Alexandria, relaxed with GGA-PBE, using Cu Kα (weighted mean of Kα1 and Kα2).
Peak positions follow from Bragg's law for the DFT cell and can differ from measured ones.

Main lines, by angle (10 to 90 degrees two-theta):
| d/Å | two_theta | I/Imax | h k l |
| --- | --- | --- | --- |
| 2.618 | 34.3 | 33 | 0 2 4 |
| 2.552 | 35.2 | 100 | 1 2 3 |
| 2.477 | 36.3 | 40 | 1 1 4 |
| 2.361 | 38.1 | 38 | 1 3 2 |
| 2.206 | 40.9 | 55 | 2 0 0 |
| 2.038 | 44.5 | 31 | 1 4 1 |

```
data_Ce3Ga8Tc3
_chemical_formula_sum 'Ce6 Ga16 Tc6'
_space_group_name_H-M_alt 'I m m m'
_space_group_IT_number 71
_space_group_name_Hall '-I 2 2'
_cell_length_a 4.4116
_cell_length_b 9.3474
_cell_length_c 12.6394
_cell_angle_alpha 90.00
_cell_angle_beta 90.00
_cell_angle_gamma 90.00
loop_
_atom_site_label
_atom_site_fract_x
_atom_site_fract_y
_atom_site_fract_z
Ce1 0.0000 0.0000 0.0000
Ce2 0.0000 0.0000 0.2967
Ga1 0.0000 0.2860 0.1331
Ga2 0.0000 0.3604 0.3509
Tc1 0.0000 0.1638 0.5000
Tc2 0.0000 0.5000 0.0000
```